Entry 1:
Structure and theoretical powder X-ray diffraction pattern of Ca2HoMn4BiO12 (the GGA+U geometry in the Materials Project; copper Kα).
Neutral-atom scattering factors, no anomalous dispersion.

Cell and atoms:
```
Ca2HoMn4BiO12
1.0
5.394 0.000 0.000
0.000 7.637 0.000
-0.033 0.000 5.563
Ca Ho Mn Bi O
2 1 4 1 12
Direct
0.000 0.000 0.000
0.498 0.500 0.403
0.526 0.000 0.511
0.010 0.247 0.446
0.010 0.753 0.446
0.511 0.247 0.953
0.511 0.753 0.953
0.023 0.500 0.894
0.113 0.000 0.424
0.211 0.292 0.152
0.211 0.708 0.152
0.307 0.290 0.654
0.307 0.710 0.654
0.425 0.000 0.914
0.600 0.500 0.979
0.708 0.196 0.250
0.708 0.804 0.250
0.798 0.199 0.735
0.798 0.801 0.735
0.927 0.500 0.471
```

Peak list (12 most intense, 2θ = 10–90°, by angle)
d (Å)  two_theta  I_rel
4.496  19.74  35
4.405  20.16  39
2.781  32.18  21
2.719  32.94  100
2.697  33.22  25
2.316  38.88  14
1.942  46.78  12
1.930  47.07  12
1.909  47.63  16
1.712  53.52  10
1.563  59.09  12
1.559  59.29  23



Entry 2:
Structure and theoretical powder X-ray diffraction pattern of Ca2HoMn4BiO12 (the GGA+U geometry in the Materials Project; copper Kα).
Neutral-atom scattering factors, no anomalous dispersion.

Cell and atoms:
```
Ca2HoMn4BiO12
1.0
5.734 0.000 0.000
0.000 7.321 0.000
-0.004 0.000 6.248
Ca Ho Mn Bi O
2 1 4 1 12
Direct
0.000 0.000 0.000
0.375 0.500 0.466
0.920 0.500 0.101
0.467 0.259 0.032
0.467 0.741 0.032
0.915 0.251 0.573
0.915 0.749 0.573
0.473 0.000 0.593
0.167 0.261 0.162
0.167 0.739 0.162
0.241 0.235 0.671
0.241 0.765 0.671
0.451 0.000 0.945
0.527 0.500 0.135
0.628 0.221 0.402
0.628 0.779 0.402
0.763 0.282 0.885
0.763 0.718 0.885
0.868 0.000 0.645
0.952 0.500 0.473
```

Peak list (12 most intense, 2θ = 10–90°, by angle)
d (Å)  two_theta  I_rel
4.753  18.67  68
4.515  19.66  43
4.225  21.03  14
3.124  28.57  40
2.867  31.19  28
2.767  32.36  100
2.569  34.93  25
2.455  36.60  21
2.112  42.81  26
1.830  49.83  21
1.726  53.05  22
1.635  56.25  20



Entry 3:
Structure and theoretical powder X-ray diffraction pattern of KCaBiWO6 (the GGA+U geometry in the Materials Project; copper Kα).
Neutral-atom scattering factors, no anomalous dispersion.

Cell and atoms:
```
KCaBiWO6
1.0
0.000 4.257 4.257
4.257 0.000 4.257
4.257 4.257 0.000
K Ca Bi W O
1 1 1 1 6
Direct
0.000 0.000 0.000
0.500 0.500 0.500
0.250 0.250 0.250
0.750 0.750 0.750
0.521 0.521 0.979
0.521 0.979 0.521
0.521 0.979 0.979
0.979 0.521 0.521
0.979 0.521 0.979
0.979 0.979 0.521
```

Peak list (12 most intense, 2θ = 10–90°, by angle)
d (Å)  two_theta  I_rel
4.257  20.87  70
3.010  29.68  100
2.458  36.56  9
2.129  42.47  31
1.904  47.77  32
1.738  52.66  41
1.505  61.62  19
1.419  65.81  16
1.346  69.87  19
1.229  77.70  6
1.181  81.53  7
1.138  85.31  22